(1)
This entry pairs a crystal structure of GaTe with its calculated X-ray diffraction stick pattern. Radiation: Cu Kα, 1.54184 Å. Structure: a crystal structure in Alexandria, relaxed with PBE.
Peak positions follow from Bragg's law for the DFT cell and can differ from measured ones.

Structural model:
Lattice parameters (Å, degrees): 8.5530 8.5530 8.5530 93.17 93.17 152.80
Element x y z (fractional)
Ga (0.1746, 0.6824, 0.8570)
Ga (0.3176, 0.1746, 0.4922)
Ga (0.6824, 0.8254, 0.5078)
Ga (0.8254, 0.3176, 0.1430)
Te (0.2514, 0.4647, 0.7161)
Te (0.4647, 0.7486, 0.2133)
Te (0.5353, 0.2514, 0.7867)
Te (0.7486, 0.5353, 0.2839)

Most intense lines, 10 to 90 degrees two-theta, in order of rising 2θ:
| Position (°2θ) | Rel. int. |
| --- | --- |
| 15.1 | 44 |
| 21.4 | 51 |
| 23.4 | 41 |
| 23.9 | 45 |
| 27.9 | 60 |
| 35.4 | 25 |
| 38.7 | 100 |
| 44.6 | 31 |
| 45.0 | 22 |
| 68.7 | 23 |



(2)
This entry pairs a crystal structure of Pu2NiGe2 with its calculated X-ray diffraction stick pattern. Radiation: Cu Kα, 1.54184 Å. Structure: a crystal structure in Alexandria, relaxed with PBE.
Peak positions follow from Bragg's law for the DFT cell and can differ from measured ones.

Structural model:
Lattice parameters (Å, degrees): 5.6193 5.6193 10.2215 116.24 116.24 45.03
Element x y z (fractional)
Pu (0.0037, 0.0037, 0.1723)
Pu (0.1880, 0.1880, 0.6004)
Pu (0.8120, 0.8120, 0.3996)
Pu (0.9963, 0.9963, 0.8277)
Ni (0.2735, 0.2735, 0.1415)
Ni (0.7265, 0.7265, 0.8585)
Ge (0.3458, 0.3458, 0.9379)
Ge (0.4948, 0.4948, 0.6273)
Ge (0.5052, 0.5052, 0.3727)
Ge (0.6542, 0.6542, 0.0621)

Most intense lines, 10 to 90 degrees two-theta, in order of rising 2θ:
| Position (°2θ) | Rel. int. |
| --- | --- |
| 22.9 | 30 |
| 26.7 | 33 |
| 33.5 | 100 |
| 33.7 | 25 |
| 33.9 | 77 |
| 34.1 | 22 |
| 34.6 | 23 |
| 36.9 | 24 |
| 41.4 | 30 |
| 42.0 | 40 |



(3)
This entry pairs a crystal structure of Pm2PuP3Rh12 with its calculated X-ray diffraction stick pattern. Radiation: Cu Kα, 1.54184 Å. Structure: a crystal structure in Alexandria, relaxed with PBE.
Peak positions follow from Bragg's law for the DFT cell and can differ from measured ones.

Structural model:
Lattice parameters (Å, degrees): 6.7564 6.7564 6.7564 83.01 83.01 83.01
Element x y z (fractional)
Pm (0.1230, 0.1230, 0.1230)
Pm (0.8770, 0.8770, 0.8770)
Pu (0.5000, 0.5000, 0.5000)
P (0.0000, 0.5000, 0.5000)
P (0.5000, 0.0000, 0.5000)
P (0.5000, 0.5000, 0.0000)
Rh (0.1371, 0.1371, 0.5863)
Rh (0.1371, 0.5863, 0.1371)
Rh (0.1645, 0.6757, 0.6757)
Rh (0.3243, 0.3243, 0.8355)
Rh (0.3243, 0.8355, 0.3243)
Rh (0.4137, 0.8629, 0.8629)
Rh (0.5863, 0.1371, 0.1371)
Rh (0.6757, 0.1645, 0.6757)
Rh (0.6757, 0.6757, 0.1645)
Rh (0.8355, 0.3243, 0.3243)
Rh (0.8629, 0.4137, 0.8629)
Rh (0.8629, 0.8629, 0.4137)

Most intense lines, 10 to 90 degrees two-theta, in order of rising 2θ:
| Position (°2θ) | Rel. int. |
| --- | --- |
| 20.4 | 19 |
| 28.6 | 22 |
| 33.5 | 28 |
| 36.0 | 28 |
| 36.3 | 28 |
| 40.3 | 100 |
| 45.6 | 17 |
| 46.6 | 21 |
| 63.3 | 14 |
| 73.2 | 14 |



(4)
This entry pairs a crystal structure of ThSi7Ir3 with its calculated X-ray diffraction stick pattern. Radiation: Cu Kα, 1.54184 Å. Structure: a crystal structure in Alexandria, relaxed with PBE.
Peak positions follow from Bragg's law for the DFT cell and can differ from measured ones.

Structural model:
Lattice parameters (Å, degrees): 8.0849 8.0849 8.0849 57.16 57.16 57.16
Element x y z (fractional)
Th (0.0000, 0.0000, 0.0000)
Th (0.5000, 0.5000, 0.5000)
Si (0.0668, 0.8528, 0.6709)
Si (0.1472, 0.3291, 0.9332)
Si (0.1709, 0.3528, 0.5668)
Si (0.2500, 0.2500, 0.2500)
Si (0.3291, 0.9332, 0.1472)
Si (0.3528, 0.5668, 0.1709)
Si (0.4332, 0.8291, 0.6472)
Si (0.5668, 0.1709, 0.3528)
Si (0.6472, 0.4332, 0.8291)
Si (0.6709, 0.0668, 0.8528)
Si (0.7500, 0.7500, 0.7500)
Si (0.8291, 0.6472, 0.4332)
Si (0.8528, 0.6709, 0.0668)
Si (0.9332, 0.1472, 0.3291)
Ir (0.0667, 0.7500, 0.4333)
Ir (0.2500, 0.5667, 0.9333)
Ir (0.4333, 0.0667, 0.7500)
Ir (0.5667, 0.9333, 0.2500)
Ir (0.7500, 0.4333, 0.0667)
Ir (0.9333, 0.2500, 0.5667)

Most intense lines, 10 to 90 degrees two-theta, in order of rising 2θ:
| Position (°2θ) | Rel. int. |
| --- | --- |
| 15.9 | 17 |
| 26.6 | 100 |
| 35.3 | 54 |
| 39.8 | 16 |
| 40.4 | 49 |
| 46.8 | 35 |
| 49.0 | 41 |
| 65.3 | 17 |
| 69.9 | 23 |
| 70.2 | 17 |



(5)
This entry pairs a crystal structure of La2Co17B2 with its calculated X-ray diffraction stick pattern. Radiation: Cu Kα, 1.54184 Å. Structure: a crystal structure in Alexandria, relaxed with PBE.
Peak positions follow from Bragg's law for the DFT cell and can differ from measured ones.

Structural model:
Lattice parameters (Å, degrees): 6.4463 6.4463 6.4586 96.14 96.14 84.73
Element x y z (fractional)
La (0.1384, 0.1384, 0.3180)
La (0.8616, 0.8616, 0.6820)
Co (0.0000, 0.5000, 0.0000)
Co (0.1613, 0.6418, 0.3372)
Co (0.1617, 0.1617, 0.8606)
Co (0.2225, 0.4972, 0.7225)
Co (0.2288, 0.7712, 0.0000)
Co (0.3582, 0.8387, 0.6628)
Co (0.4044, 0.4044, 0.0953)
Co (0.4972, 0.2225, 0.7225)
Co (0.5000, 0.0000, 0.0000)
Co (0.5000, 0.5000, 0.5000)
Co (0.5028, 0.7775, 0.2775)
Co (0.5956, 0.5956, 0.9047)
Co (0.6418, 0.1613, 0.3372)
Co (0.7712, 0.2288, 0.0000)
Co (0.7775, 0.5028, 0.2775)
Co (0.8383, 0.8383, 0.1394)
Co (0.8387, 0.3582, 0.6628)
B (0.0000, 0.5000, 0.5000)
B (0.5000, 0.0000, 0.5000)

Most intense lines, 10 to 90 degrees two-theta, in order of rising 2θ:
| Position (°2θ) | Rel. int. |
| --- | --- |
| 30.0 | 54 |
| 35.9 | 47 |
| 37.8 | 44 |
| 38.2 | 29 |
| 41.6 | 58 |
| 41.9 | 100 |
| 42.3 | 67 |
| 42.4 | 99 |
| 44.3 | 74 |
| 62.4 | 28 |



Repeat the fourth record exactly.
This entry pairs a crystal structure of ThSi7Ir3 with its calculated X-ray diffraction stick pattern. Radiation: Cu Kα, 1.54184 Å. Structure: a crystal structure in Alexandria, relaxed with PBE.
Peak positions follow from Bragg's law for the DFT cell and can differ from measured ones.

Structural model:
Lattice parameters (Å, degrees): 8.0849 8.0849 8.0849 57.16 57.16 57.16
Element x y z (fractional)
Th (0.0000, 0.0000, 0.0000)
Th (0.5000, 0.5000, 0.5000)
Si (0.0668, 0.8528, 0.6709)
Si (0.1472, 0.3291, 0.9332)
Si (0.1709, 0.3528, 0.5668)
Si (0.2500, 0.2500, 0.2500)
Si (0.3291, 0.9332, 0.1472)
Si (0.3528, 0.5668, 0.1709)
Si (0.4332, 0.8291, 0.6472)
Si (0.5668, 0.1709, 0.3528)
Si (0.6472, 0.4332, 0.8291)
Si (0.6709, 0.0668, 0.8528)
Si (0.7500, 0.7500, 0.7500)
Si (0.8291, 0.6472, 0.4332)
Si (0.8528, 0.6709, 0.0668)
Si (0.9332, 0.1472, 0.3291)
Ir (0.0667, 0.7500, 0.4333)
Ir (0.2500, 0.5667, 0.9333)
Ir (0.4333, 0.0667, 0.7500)
Ir (0.5667, 0.9333, 0.2500)
Ir (0.7500, 0.4333, 0.0667)
Ir (0.9333, 0.2500, 0.5667)

Most intense lines, 10 to 90 degrees two-theta, in order of rising 2θ:
| Position (°2θ) | Rel. int. |
| --- | --- |
| 15.9 | 17 |
| 26.6 | 100 |
| 35.3 | 54 |
| 39.8 | 16 |
| 40.4 | 49 |
| 46.8 | 35 |
| 49.0 | 41 |
| 65.3 | 17 |
| 69.9 | 23 |
| 70.2 | 17 |